No. 1
Theoretical PXRD pattern of Co7Ni2 for Cu Kα, 1.54184 Å, from a DFT-relaxed cell (GGA-PBE, Alexandria).
Kinematic intensities with the Lorentz-polarization factor, no thermal factor.

```
data_Co7Ni2
_chemical_formula_sum 'Co7 Ni2'
_cell_length_a 4.3085
_cell_length_b 4.3085
_cell_length_c 6.0890
_cell_angle_alpha 90.00
_cell_angle_beta 90.00
_cell_angle_gamma 120.00
_space_group_name_H-M_alt 'P 1'
_space_group_IT_number 1
_space_group_name_Hall 'P 1'
loop_
_atom_site_label
_atom_site_type_symbol
_atom_site_fract_x
_atom_site_fract_y
_atom_site_fract_z
Co1 Co 0.0000 0.0000 0.0000
Co2 Co 0.0000 0.3323 0.6644
Co3 Co 0.0000 0.6677 0.3356
Co4 Co 0.3323 0.0000 0.6644
Co5 Co 0.3323 0.3323 0.3356
Co6 Co 0.6677 0.0000 0.3356
Co7 Co 0.6677 0.6677 0.6644
Ni1 Ni 0.3333 0.6667 0.0000
Ni2 Ni 0.6667 0.3333 0.0000
```

Largest 3 diffraction maxima, most intense first, 2θ from 10° to 90°:
d (Å)  I (rel.)
2.031  100
1.759  46
1.243  26



No. 2
Theoretical PXRD pattern of TiCo4Rh for Cu Kα, 1.54184 Å, from a DFT-relaxed cell (GGA-PBE, Alexandria).
Kinematic intensities with the Lorentz-polarization factor, no thermal factor.

```
data_TiCo4Rh
_chemical_formula_sum 'Ti1 Co4 Rh1'
_cell_length_a 4.7125
_cell_length_b 4.7125
_cell_length_c 4.7125
_cell_angle_alpha 60.00
_cell_angle_beta 60.00
_cell_angle_gamma 60.00
_space_group_name_H-M_alt 'P 1'
_space_group_IT_number 1
_space_group_name_Hall 'P 1'
loop_
_atom_site_label
_atom_site_type_symbol
_atom_site_fract_x
_atom_site_fract_y
_atom_site_fract_z
Ti1 Ti 0.0000 0.0000 0.0000
Co1 Co 0.1258 0.6247 0.6247
Co2 Co 0.6247 0.1258 0.6247
Co3 Co 0.6247 0.6247 0.1258
Co4 Co 0.6247 0.6247 0.6247
Rh1 Rh 0.2500 0.2500 0.2500
```

Largest 12 diffraction maxima, most intense first, 2θ from 10° to 90°:
d (Å)  I (rel.)
2.009  100
2.356  34
1.924  34
1.283  28
1.178  22
1.360  11
3.848  7
3.332  6
1.490  3
1.666  2
1.529  1
1.111  1



No. 3
Theoretical PXRD pattern of Tl3GaO6 for Cu Kα, 1.54184 Å, from a DFT-relaxed cell (GGA-PBE, Alexandria).
Kinematic intensities with the Lorentz-polarization factor, no thermal factor.

```
data_Tl3GaO6
_chemical_formula_sum 'Tl6 Ga2 O12'
_cell_length_a 6.5559
_cell_length_b 6.5559
_cell_length_c 6.5559
_cell_angle_alpha 90.65
_cell_angle_beta 90.65
_cell_angle_gamma 90.65
_space_group_name_H-M_alt 'P 1'
_space_group_IT_number 1
_space_group_name_Hall 'P 1'
loop_
_atom_site_label
_atom_site_type_symbol
_atom_site_fract_x
_atom_site_fract_y
_atom_site_fract_z
Tl1 Tl 0.0541 0.5667 0.7486
Tl2 Tl 0.2514 0.9459 0.4333
Tl3 Tl 0.4333 0.2514 0.9459
Tl4 Tl 0.5667 0.7486 0.0541
Tl5 Tl 0.7486 0.0541 0.5667
Tl6 Tl 0.9459 0.4333 0.2514
Ga1 Ga 0.0000 0.0000 0.0000
Ga2 Ga 0.5000 0.5000 0.5000
O1 O 0.0410 0.9171 0.7046
O2 O 0.0829 0.2954 0.9590
O3 O 0.2058 0.5782 0.4349
O4 O 0.2954 0.9590 0.0829
O5 O 0.4218 0.5651 0.7942
O6 O 0.4349 0.2058 0.5782
O7 O 0.5651 0.7942 0.4218
O8 O 0.5782 0.4349 0.2058
O9 O 0.7046 0.0410 0.9171
O10 O 0.7942 0.4218 0.5651
O11 O 0.9171 0.7046 0.0410
O12 O 0.9590 0.0829 0.2954
```

Largest 12 diffraction maxima, most intense first, 2θ from 10° to 90°:
d (Å)  I (rel.)
2.945  100
2.681  51
2.918  47
3.742  34
1.762  24
2.066  22
1.736  19
2.080  18
1.594  14
1.828  13
3.278  13
3.799  13



No. 4
Theoretical PXRD pattern of CeZr2VN4 for Cu Kα, 1.54184 Å, from a DFT-relaxed cell (GGA-PBE, Alexandria).
Kinematic intensities with the Lorentz-polarization factor, no thermal factor.

```
data_CeZr2VN4
_chemical_formula_sum 'Ce2 Zr4 V2 N8'
_cell_length_a 5.8969
_cell_length_b 5.8969
_cell_length_c 11.1579
_cell_angle_alpha 90.00
_cell_angle_beta 90.00
_cell_angle_gamma 147.70
_space_group_name_H-M_alt 'P 1'
_space_group_IT_number 1
_space_group_name_Hall 'P 1'
loop_
_atom_site_label
_atom_site_type_symbol
_atom_site_fract_x
_atom_site_fract_y
_atom_site_fract_z
Ce1 Ce 0.0979 0.9021 0.7500
Ce2 Ce 0.9021 0.0979 0.2500
Zr1 Zr 0.3698 0.6302 0.5433
Zr2 Zr 0.3698 0.6302 0.9567
Zr3 Zr 0.6302 0.3698 0.0433
Zr4 Zr 0.6302 0.3698 0.4567
V1 V 0.1630 0.8370 0.2500
V2 V 0.8370 0.1630 0.7500
N1 N 0.0000 0.0000 0.0000
N2 N 0.0000 0.0000 0.5000
N3 N 0.2654 0.7346 0.1184
N4 N 0.2654 0.7346 0.3816
N5 N 0.4365 0.5635 0.7500
N6 N 0.5635 0.4365 0.2500
N7 N 0.7346 0.2654 0.6184
N8 N 0.7346 0.2654 0.8816
```

Largest 12 diffraction maxima, most intense first, 2θ from 10° to 90°:
d (Å)  I (rel.)
2.744  100
2.263  54
3.109  54
2.418  46
2.832  39
2.789  36
1.658  23
1.768  23
1.987  19
1.821  19
1.640  16
1.451  14



No. 5
Theoretical PXRD pattern of RbSr2VBr8 for Cu Kα, 1.54184 Å, from a DFT-relaxed cell (GGA-PBE, Alexandria).
Kinematic intensities with the Lorentz-polarization factor, no thermal factor.

```
data_RbSr2VBr8
_chemical_formula_sum 'Rb1 Sr2 V1 Br8'
_cell_length_a 6.7253
_cell_length_b 6.9679
_cell_length_c 9.3944
_cell_angle_alpha 89.97
_cell_angle_beta 89.94
_cell_angle_gamma 89.40
_space_group_name_H-M_alt 'P 1'
_space_group_IT_number 1
_space_group_name_Hall 'P 1'
loop_
_atom_site_label
_atom_site_type_symbol
_atom_site_fract_x
_atom_site_fract_y
_atom_site_fract_z
Rb1 Rb 0.0000 0.0000 0.0000
Sr1 Sr 0.4997 0.5000 0.2578
Sr2 Sr 0.5003 0.5000 0.7422
V1 V 0.0000 0.0000 0.5000
Br1 Br 0.2215 0.8519 0.6917
Br2 Br 0.2223 0.8529 0.3080
Br3 Br 0.2300 0.3085 0.5003
Br4 Br 0.2613 0.3863 0.0001
Br5 Br 0.7387 0.6137 0.9999
Br6 Br 0.7700 0.6915 0.4997
Br7 Br 0.7777 0.1471 0.6920
Br8 Br 0.7785 0.1481 0.3083
```

Largest 12 diffraction maxima, most intense first, 2θ from 10° to 90°:
d (Å)  I (rel.)
3.379  100
2.538  90
3.362  76
3.080  63
2.082  57
4.864  57
4.813  56
2.553  51
3.851  41
3.107  39
2.349  31
2.111  30



No. 6
Theoretical PXRD pattern of RbHg5Br11 for Cu Kα, 1.54184 Å, from a DFT-relaxed cell (GGA-PBE, Alexandria).
Kinematic intensities with the Lorentz-polarization factor, no thermal factor.

```
data_RbHg5Br11
_chemical_formula_sum 'Rb1 Hg5 Br11'
_cell_length_a 10.2060
_cell_length_b 10.2060
_cell_length_c 7.2432
_cell_angle_alpha 106.67
_cell_angle_beta 106.67
_cell_angle_gamma 105.40
_space_group_name_H-M_alt 'P 1'
_space_group_IT_number 1
_space_group_name_Hall 'P 1'
loop_
_atom_site_label
_atom_site_type_symbol
_atom_site_fract_x
_atom_site_fract_y
_atom_site_fract_z
Rb1 Rb 0.0000 0.0000 0.0000
Hg1 Hg 0.0363 0.3397 0.6632
Hg2 Hg 0.3397 0.0363 0.6632
Hg3 Hg 0.5000 0.5000 0.0000
Hg4 Hg 0.6603 0.9637 0.3368
Hg5 Hg 0.9637 0.6603 0.3368
Br1 Br 0.0000 0.0000 0.5000
Br2 Br 0.1225 0.7149 0.7031
Br3 Br 0.1759 0.4228 0.0446
Br4 Br 0.2851 0.8775 0.2969
Br5 Br 0.3628 0.3628 0.6116
Br6 Br 0.4228 0.1759 0.0446
Br7 Br 0.5772 0.8241 0.9554
Br8 Br 0.6372 0.6372 0.3884
Br9 Br 0.7149 0.1225 0.7031
Br10 Br 0.8241 0.5772 0.9554
Br11 Br 0.8775 0.2851 0.2969
```

Largest 12 diffraction maxima, most intense first, 2θ from 10° to 90°:
d (Å)  I (rel.)
6.571  100
3.268  91
3.255  62
3.088  47
4.847  43
3.302  39
2.125  27
4.323  26
2.969  24
2.706  23
2.695  23
2.440  19